(1)
This entry pairs a crystal structure of KBaCrS4 with its calculated powder XRD pattern. Radiation: Cu Kα, 1.54184 Å. Structure: a PBE-relaxed structure.

The 8 most intense peaks (10 to 80 degrees two-theta), low angle first:
two_theta, I_rel, hkl
16.67, 76, 0 1 1
24.80, 54, 1 1 -2
26.89, 100, 0 2 0
28.90, 69, 2 0 -2
30.24, 91, 1 1 2
31.96, 53, 2 1 -2
33.71, 49, 0 2 2
38.41, 81, 2 2 0

Crystal structure
Cell lengths 6.884, 6.632, 9.247 Å; angles 90.00, 105.77, 90.00 degrees
Space group P2_1/m (No. 11)
Asymmetric unit:
1 K 0.219 0.250 0.439 (multiplicity 2)
2 Ba 0.268 0.250 0.960 (multiplicity 2)
3 Cr 0.308 0.750 0.211 (multiplicity 2)
4 S 0.096 0.750 0.340 (multiplicity 2)
5 S 0.165 0.750 0.973 (multiplicity 2)
6 S 0.499 0.504 0.741 (multiplicity 4)

***

(2)
This entry pairs a crystal structure of TlPd4Se with its calculated powder XRD pattern. Radiation: Cu Kα, 1.54184 Å. Structure: a PBE-relaxed structure.

The 8 most intense peaks (10 to 80 degrees two-theta), low angle first:
two_theta, I_rel, hkl
28.09, 24, -1 1 1
31.20, 26, 1 1 -1
35.43, 47, 1 0 3
37.84, 100, 2 1 2
38.00, 38, 1 -2 1
38.36, 39, 0 2 2
41.15, 32, 1 1 -2
43.67, 24, 1 -2 2

Crystal structure
Cell lengths 5.515, 5.544, 7.718 Å; angles 82.10, 69.08, 89.98 degrees
Space group P-1 (No. 2)
Asymmetric unit:
1 Tl 0.130 0.250 0.499 (multiplicity 2)
2 Pd 0.042 0.082 0.166 (multiplicity 2)
3 Pd 0.292 0.583 0.166 (multiplicity 2)
4 Pd 0.328 0.578 0.672 (multiplicity 2)
5 Pd 0.499 0.078 0.672 (multiplicity 2)
6 Se 0.000 0.500 0.000 (multiplicity 1)
7 Se 0.500 0.000 0.000 (multiplicity 1)